No. 1
Simulated powder diffraction line list of In3Pt3Se8 for Cu Kα, 1.54184 Å, from a DFT-relaxed cell (GGA-PBE, Alexandria).

Structural model:
```
data_In3Pt3Se8
_space_group_name_H-M_alt 'R -3 m'
_space_group_IT_number 166
_space_group_name_Hall '-R 3 2"'
_cell_length_a 7.8856
_cell_length_b 7.8856
_cell_length_c 19.7438
_cell_angle_alpha 90.00
_cell_angle_beta 90.00
_cell_angle_gamma 120.00
loop_
_atom_site_label
_atom_site_fract_x
_atom_site_fract_y
_atom_site_fract_z
In1 0.0000 0.0000 0.0000
In2 0.0000 0.0000 0.3702
Pt1 0.0000 0.5000 0.5000
Se1 0.0000 0.0000 0.2298
Se2 0.0323 0.5161 0.7624
```

Peak list (6 most intense, 10° ≤ 2θ ≤ 90°, in order of rising 2θ)
- 13.45 deg, d = 6.581 Å, rel. 475, hkl 0 0 3
- 26.35 deg, d = 3.382 Å, rel. 651, hkl 1 1 3
- 31.87 deg, d = 2.808 Å, rel. 1000, hkl 0 2 4
- 41.53 deg, d = 2.175 Å, rel. 468, hkl 0 2 7
- 45.34 deg, d = 2.000 Å, rel. 664, hkl 2 0 8
- 46.04 deg, d = 1.971 Å, rel. 759, hkl 2 2 0

No. 2
Simulated powder diffraction line list of Th2InSiPt6 for Cu Kα, 1.54184 Å, from a DFT-relaxed cell (GGA-PBE, Alexandria).

Structural model:
```
data_Th2InSiPt6
_space_group_name_H-M_alt 'P m m n'
_space_group_IT_number 59
_cell_length_a 5.5534
_cell_length_b 8.6616
_cell_length_c 8.7543
_cell_angle_alpha 90.00
_cell_angle_beta 90.00
_cell_angle_gamma 90.00
loop_
_space_group_symop_operation_xyz
'x,y,z'
'-x,-y,-z'
'-x+1/2,-y+1/2,z'
'x+1/2,y+1/2,-z'
'x+1/2,-y,-z'
'-x+1/2,y,z'
'-x,y+1/2,-z'
'x,-y+1/2,z'
loop_
_atom_site_label
_atom_site_fract_x
_atom_site_fract_y
_atom_site_fract_z
Th1 0.2500 0.0102 0.2437
In1 0.2500 0.2500 0.7906
Si1 0.2500 0.7500 0.7310
Pt1 0.0010 0.2500 0.5071
Pt2 0.0029 0.7500 0.9514
Pt3 0.2500 0.5020 0.6055
```

Peak list (6 most intense, 10° ≤ 2θ ≤ 90°, in order of rising 2θ)
- 10.10 deg, d = 8.754 Å, rel. 422, hkl 0 0 1
- 29.00 deg, d = 3.079 Å, rel. 836, hkl 0 2 2
- 38.39 deg, d = 2.345 Å, rel. 668, hkl 2 0 2
- 38.51 deg, d = 2.338 Å, rel. 1000, hkl 2 2 0
- 40.67 deg, d = 2.219 Å, rel. 659, hkl 1 2 3
- 41.71 deg, d = 2.165 Å, rel. 571, hkl 0 4 0